For LiSnS, a structure optimized by DFT (PBE) gives the simulated XRD peak list in this record (CuKα).
Lines closer than 0.1° are merged.

Structural model:
```
LiSnS
1.0
7.877 0.000 0.000
0.000 6.089 0.000
0.000 0.000 6.087
Li Sn S
4 4 4
direct
0.000 0.000 0.000
0.000 0.000 0.500
0.000 0.500 0.000
0.000 0.500 0.500
0.458 0.250 0.247
0.458 0.750 0.747
0.542 0.250 0.747
0.542 0.750 0.247
0.148 0.250 0.250
0.148 0.750 0.750
0.852 0.250 0.750
0.852 0.750 0.250
```

Peak list (10 most intense, 2θ = 10–90°, in order of rising 2θ)
- (1 0 0), 2θ 11.2, I = 100
- (2 0 0), 2θ 22.6, I = 27
- (1 1 1), 2θ 23.6, I = 35
- (0 2 0), 2θ 29.3, I = 64
- (1 2 0), 2θ 31.5, I = 49
- (2 2 0), 2θ 37.3, I = 25
- (3 1 1), 2θ 40.2, I = 23
- (0 2 2), 2θ 42.0, I = 27
- (3 2 0), 2θ 45.6, I = 25
- (4 1 1), 2θ 51.0, I = 19